This entry pairs a crystal structure of YRe3N8 with its computed powder X-ray diffraction pattern. Radiation: Cu Kα (weighted mean of Kα1 and Kα2). Structure: a DFT-relaxed cell (PBE, Alexandria).
Lines closer than 0.1° are merged.

Crystal structure
Cell: 5.7434 5.7434 6.2774 Å, 90.00 90.00 120.00°
Element x y z (fractional)
1 Y 0.0000 0.0000 0.0000
2 Re 0.0000 0.0000 0.5000
3 Re 0.3333 0.6667 0.7804
4 Re 0.6667 0.3333 0.2196
5 N 0.1559 0.3118 0.6922
6 N 0.1559 0.8441 0.6922
7 N 0.3118 0.1559 0.3078
8 N 0.3333 0.6667 0.0583
9 N 0.6667 0.3333 0.9417
10 N 0.6882 0.8441 0.6922
11 N 0.8441 0.1559 0.3078
12 N 0.8441 0.6882 0.3078

The 8 most intense peaks (10° ≤ 2θ ≤ 90°), low angle first:
Position (°2θ)	Rel. int.	h k l
22.8	100	0 1 1
31.1	75	1 1 0
33.8	54	1 0 2
39.0	15	2 0 1
46.6	28	0 2 2
50.7	24	1 2 1
55.4	15	3 0 0
57.1	26	2 1 2